The following is a simulated XRD peak list of Cs2AlTlI6. It was derived from the GGA-PBE geometry in the Materials Project, using Cu Kα X-rays.
Intensities are scaled so that the largest is 100.

Principal peaks in the range 10 to 80 degrees two-theta, by angle:
- 6.165 Å, 14.4 deg, I 19, (2 0 0)
- 4.359 Å, 20.4 deg, I 22, (2 2 0)
- 3.718 Å, 23.9 deg, I 19, (3 1 1)
- 3.559 Å, 25.0 deg, I 77, (2 2 2)
- 3.083 Å, 29.0 deg, I 100, (4 0 0)
- 2.829 Å, 31.6 deg, I 27, (3 3 1)
- 2.180 Å, 41.4 deg, I 70, (4 4 0)
- 1.859 Å, 49.0 deg, I 28, (6 2 2)
- 1.780 Å, 51.3 deg, I 23, (4 4 4)
- 1.605 Å, 57.4 deg, I 17, (7 3 1)
- 1.379 Å, 68.0 deg, I 26, (8 4 0)
- 1.258 Å, 75.6 deg, I 18, (8 4 4)

Crystal structure
```
data_Cs2AlTlI6
_symmetry_space_group_name_H-M 'F m -3 m'
_symmetry_Int_Tables_number 225
_symmetry_space_group_name_Hall '-F 4 2 3'
_cell_length_a 12.330
_cell_length_b 12.330
_cell_length_c 12.330
_cell_angle_alpha 90.00
_cell_angle_beta 90.00
_cell_angle_gamma 90.00
loop_
_atom_site_label
_atom_site_type_symbol
_atom_site_fract_x
_atom_site_fract_y
_atom_site_fract_z
Cs1 Cs 0.250 0.250 0.250
Al1 Al 0.000 0.000 0.000
Tl1 Tl 0.000 0.000 0.500
I1 I 0.000 0.000 0.226
```